# Ti3Nb2W4
Computed XRD peak list, Cu Kα, 1.54184 Å. Input: a cell relaxed with PBE.
Peak positions follow from Bragg's law for the DFT cell and can differ from measured ones.

Cell and atoms:
```
data_Ti3Nb2W4
_chemical_formula_sum 'Ti12 Nb8 W16'
_cell_length_a 9.989
_cell_length_b 12.657
_cell_length_c 4.830
_cell_angle_alpha 90.00
_cell_angle_beta 90.00
_cell_angle_gamma 90.00
_space_group_name_H-M_alt 'C c c m'
_space_group_IT_number 66
_space_group_name_Hall '-C 2 2c'
loop_
_atom_site_label
_atom_site_type_symbol
_atom_site_fract_x
_atom_site_fract_y
_atom_site_fract_z
Ti1 Ti 0.000 0.000 0.250
Ti2 Ti 0.065 0.400 0.000
Nb1 Nb 0.090 0.228 0.500
W1 W 0.186 0.158 0.000
W2 W 0.232 0.437 0.500
```

Principal peaks in the range 2θ = 10–90°, low angle first:
Position (°2θ), d_spacing, intensity, (hkl)
17.8, 4.995, 62.1, 2 0 0
34.3, 2.614, 30.6, 3 3 0
37.2, 2.415, 57.4, 0 0 2
39.2, 2.299, 66.0, 3 3 1
41.3, 2.188, 100.0, 1 5 1
43.2, 2.093, 53.3, 4 2 1